1.
Starting from a DFT-relaxed cell (GGA-PBE, Alexandria), the X-ray diffraction stick pattern of YAl2Tc2C was calculated for Cu Kα, 1.54184 Å.
Kinematic intensities with the Lorentz-polarization factor, no thermal factor.

The 10 most intense peaks (2θ = 5–70°), in order of rising 2θ:
16.09°, rel. 28
26.77°, rel. 12
32.51°, rel. 22
34.44°, rel. 100
39.17°, rel. 20
43.30°, rel. 40
44.99°, rel. 13
55.17°, rel. 19
59.24°, rel. 17
62.90°, rel. 13

```
data_YAl2Tc2C
_cell_length_a 4.179
_cell_length_b 4.179
_cell_length_c 5.509
_cell_angle_alpha 90.00
_cell_angle_beta 90.00
_cell_angle_gamma 90.00
_symmetry_space_group_name_H-M 'P 4/m m m'
_symmetry_Int_Tables_number 123
_symmetry_space_group_name_Hall '-P 4 2'
loop_
_atom_site_label
_atom_site_type_symbol
_atom_site_fract_x
_atom_site_fract_y
_atom_site_fract_z
Y1 Y 0.000 0.000 0.000
Al1 Al 0.500 0.500 0.231
Tc1 Tc 0.000 0.500 0.500
C1 C 0.000 0.000 0.500
```

***

2.
Starting from a DFT-relaxed cell (GGA-PBE, Alexandria), the X-ray diffraction stick pattern of EuGd2Y was calculated for Cu Kα, 1.54184 Å.
Kinematic intensities with the Lorentz-polarization factor, no thermal factor.

The 10 most intense peaks (2θ = 5–70°), in order of rising 2θ:
18.82°, rel. 3
21.76°, rel. 2
30.97°, rel. 100
36.49°, rel. 2
44.37°, rel. 19
48.59°, rel. 1
49.94°, rel. 1
55.09°, rel. 39
64.55°, rel. 12
67.90°, rel. 1

```
data_EuGd2Y
_cell_length_a 8.167
_cell_length_b 8.167
_cell_length_c 8.167
_cell_angle_alpha 90.00
_cell_angle_beta 90.00
_cell_angle_gamma 90.00
_symmetry_space_group_name_H-M 'F m -3 m'
_symmetry_Int_Tables_number 225
_symmetry_space_group_name_Hall '-F 4 2 3'
loop_
_atom_site_label
_atom_site_type_symbol
_atom_site_fract_x
_atom_site_fract_y
_atom_site_fract_z
Eu1 Eu 0.000 0.000 0.000
Gd1 Gd 0.250 0.250 0.250
Y1 Y 0.000 0.000 0.500
```